Record 1
# Ba4AsO2
Simulated powder diffractogram, Cu Kα, 1.54184 Å. Input: a structure optimized by DFT (PBE).
Peak positions follow from Bragg's law for the DFT cell and can differ from measured ones.

Structure:
Lattice parameters (Å, degrees): 7.162 7.162 13.622 90.00 90.00 144.57
Sites, in units of the cell vectors:
Ba 0.000 0.000 0.000
Ba 0.000 0.000 0.500
Ba 0.271 0.729 0.609
Ba 0.271 0.729 0.891
Ba 0.431 0.569 0.250
Ba 0.569 0.431 0.750
Ba 0.729 0.271 0.109
Ba 0.729 0.271 0.391
As 0.111 0.889 0.250
As 0.889 0.111 0.750
O 0.367 0.633 0.054
O 0.367 0.633 0.446
O 0.633 0.367 0.554
O 0.633 0.367 0.946

Peak list (8 most intense, 2θ from 10° to 90°, sorted by position)
25.1°, I = 18
29.1°, I = 100
29.3°, I = 60
31.3°, I = 22
41.4°, I = 17
43.9°, I = 15
51.6°, I = 25
55.5°, I = 18

---

Record 2
# Ba2As2O7
Simulated powder diffractogram, Cu Kα, 1.54184 Å. Input: a structure optimized by DFT (PBE).
Peak positions follow from Bragg's law for the DFT cell and can differ from measured ones.

Structure:
Lattice parameters (Å, degrees): 7.559 7.599 13.645 84.17 88.14 88.78
Sites, in units of the cell vectors:
Ba 0.085 0.331 0.157
Ba 0.239 0.711 0.356
Ba 0.328 0.277 0.862
Ba 0.358 0.874 0.637
Ba 0.642 0.126 0.363
Ba 0.672 0.723 0.138
Ba 0.761 0.289 0.644
Ba 0.915 0.669 0.843
As 0.161 0.804 0.089
As 0.177 0.193 0.410
As 0.231 0.392 0.608
As 0.420 0.789 0.894
As 0.580 0.211 0.106
As 0.769 0.608 0.392
As 0.823 0.807 0.590
As 0.839 0.196 0.911
O 0.002 0.677 0.046
O 0.003 0.864 0.649
O 0.074 0.972 0.149
O 0.081 0.412 0.703
O 0.097 0.280 0.524
O 0.287 0.648 0.842
O 0.292 0.903 0.985
O 0.298 0.584 0.545
O 0.299 0.349 0.341
O 0.301 0.667 0.160
O 0.310 0.014 0.446
O 0.397 0.251 0.648
O 0.400 0.307 0.051
O 0.467 0.966 0.811
O 0.533 0.034 0.189
O 0.600 0.693 0.949
O 0.603 0.749 0.352
O 0.690 0.986 0.554
O 0.699 0.333 0.840
O 0.701 0.651 0.659
O 0.702 0.416 0.455
O 0.708 0.097 0.015
O 0.713 0.352 0.158
O 0.903 0.720 0.476
O 0.919 0.588 0.297
O 0.926 0.028 0.851
O 0.997 0.136 0.351
O 0.998 0.323 0.954

Peak list (8 most intense, 2θ from 10° to 90°, sorted by position)
23.5°, I = 74
24.7°, I = 73
25.8°, I = 26
26.3°, I = 100
26.6°, I = 50
27.5°, I = 23
28.2°, I = 24
30.4°, I = 29